Theoretical PXRD pattern of CsLaCr2O8 for CuKα, from a structure optimized by DFT (GGA+U).
Neutral-atom scattering factors, no anomalous dispersion.

Atomic structure:
abc: 5.9504 5.9504 8.6401
angles: 90.00 90.00 120.00
Space group P-3 (No. 147)
Symmetry-distinct sites (fractional):
Cs 0.0000 0.0000 0.0000 (multiplicity 1)
La 0.0000 0.0000 0.5000 (multiplicity 1)
Cr 0.3333 0.6667 0.7393 (multiplicity 2)
O 0.1703 0.3592 0.6752 (multiplicity 6)
O 0.3333 0.6667 0.9273 (multiplicity 2)

Peak list (10 most intense, 2θ = 5–70°, sorted by position)
| 2θ/deg | intensity |
| --- | --- |
| 17.21 | 62.8 |
| 20.06 | 46.8 |
| 26.93 | 100.0 |
| 30.04 | 57.5 |
| 36.68 | 18.4 |
| 40.78 | 41.4 |
| 45.53 | 13.6 |
| 51.47 | 29.9 |
| 52.34 | 22.5 |
| 69.24 | 13.5 |